Record 1
Starting from a crystal structure in Alexandria, relaxed with PBE, the X-ray diffraction stick pattern of Tb2TmThSc4 was calculated for CuKα.
No peak broadening, texture or thermal motion is included.

Largest 12 diffraction maxima, most intense first, 15 to 90 degrees two-theta:
| 2θ (°) | I/Imax |
| --- | --- |
| 32.26 | 1000 |
| 36.45 | 359 |
| 25.55 | 312 |
| 19.36 | 298 |
| 62.97 | 287 |
| 54.67 | 221 |
| 41.59 | 180 |
| 39.30 | 146 |
| 47.46 | 127 |
| 52.50 | 125 |
| 66.84 | 120 |
| 67.50 | 117 |

Structure:
Cell: 4.930 4.930 9.170 Å, 90.00 90.00 90.00°
Fractional coordinates of all 8 atoms:
Tb: 0.000 0.000 0.000
Tb: 0.500 0.500 0.500
Tm: 0.000 0.000 0.500
Th: 0.500 0.500 0.000
Sc: 0.000 0.500 0.248
Sc: 0.000 0.500 0.752
Sc: 0.500 0.000 0.248
Sc: 0.500 0.000 0.752

Record 2
Starting from a crystal structure in Alexandria, relaxed with PBE, the X-ray diffraction stick pattern of Hf2NbH4 was calculated for CuKα.
No peak broadening, texture or thermal motion is included.

Largest 12 diffraction maxima, most intense first, 15 to 90 degrees two-theta:
| 2θ (°) | I/Imax |
| --- | --- |
| 35.46 | 1000 |
| 37.09 | 598 |
| 56.99 | 341 |
| 18.30 | 330 |
| 62.58 | 330 |
| 75.04 | 239 |
| 89.70 | 224 |
| 43.09 | 169 |
| 30.10 | 121 |
| 74.04 | 117 |
| 47.18 | 90 |
| 65.80 | 70 |

Structure:
Cell: 5.937 5.937 5.937 Å, 60.00 60.00 60.00°
Fractional coordinates of all 14 atoms:
Hf: 0.000 0.000 0.000
Hf: 0.000 0.000 0.500
Hf: 0.000 0.500 0.000
Hf: 0.500 0.000 0.000
Nb: 0.375 0.375 0.375
Nb: 0.625 0.625 0.625
H: 0.224 0.759 0.759
H: 0.241 0.241 0.241
H: 0.241 0.241 0.776
H: 0.241 0.776 0.241
H: 0.759 0.224 0.759
H: 0.759 0.759 0.224
H: 0.759 0.759 0.759
H: 0.776 0.241 0.241

Record 3
Starting from a crystal structure in Alexandria, relaxed with PBE, the X-ray diffraction stick pattern of Tb2Er5Sc2 was calculated for CuKα.
No peak broadening, texture or thermal motion is included.

Largest 12 diffraction maxima, most intense first, 15 to 90 degrees two-theta:
| 2θ (°) | I/Imax |
| --- | --- |
| 32.20 | 1000 |
| 31.66 | 894 |
| 32.87 | 841 |
| 33.50 | 766 |
| 34.70 | 762 |
| 30.29 | 630 |
| 33.61 | 475 |
| 35.25 | 465 |
| 25.14 | 367 |
| 61.07 | 322 |
| 50.39 | 304 |
| 33.27 | 263 |

Structure:
Cell: 5.954 6.132 8.193 Å, 71.83 71.66 84.18°
Fractional coordinates of all 9 atoms:
Tb: 0.093 0.285 0.379
Tb: 0.907 0.715 0.621
Er: 0.251 0.831 0.170
Er: 0.321 0.924 0.732
Er: 0.500 0.500 0.500
Er: 0.679 0.076 0.268
Er: 0.749 0.169 0.830
Sc: 0.203 0.356 0.936
Sc: 0.797 0.644 0.064